The following is a simulated powder diffraction line list of Li3Ti2Fe3O10. It was derived from a crystal structure in Alexandria, relaxed with GGA+U, using Cu Kα (λ = 1.5418 Å).
Peak positions follow from Bragg's law for the DFT cell and can differ from measured ones.

Largest 12 diffraction maxima, sorted by position, 10° ≤ 2θ ≤ 80°:
| Position (°2θ) | Rel. int. |
| --- | --- |
| 12.1 | 100 |
| 18.0 | 36 |
| 18.4 | 85 |
| 22.3 | 18 |
| 26.9 | 20 |
| 27.0 | 19 |
| 30.7 | 19 |
| 37.3 | 21 |
| 39.8 | 58 |
| 44.1 | 51 |
| 44.7 | 44 |
| 61.8 | 15 |

Cell and atoms:
```
data_Li3Ti2Fe3O10
_symmetry_space_group_name_H-M 'P -1'
_symmetry_Int_Tables_number 2
_cell_length_a 5.0995
_cell_length_b 5.1965
_cell_length_c 7.8301
_cell_angle_alpha 74.11
_cell_angle_beta 73.92
_cell_angle_gamma 76.40
loop_
_symmetry_equiv_pos_as_xyz
'x,y,z'
'-x,-y,-z'
loop_
_atom_site_label
_atom_site_fract_x
_atom_site_fract_y
_atom_site_fract_z
_atom_site_occupancy
Li1 0.0000 0.0000 0.0000 1
Li2 0.4648 0.6923 0.1241 1
Ti1 0.0113 0.3786 0.1898 1
Fe1 0.0475 0.1915 0.5956 1
Fe2 0.5000 0.5000 0.5000 1
O1 0.1789 0.0268 0.1773 1
O2 0.2147 0.5999 0.9817 1
O3 0.2174 0.8129 0.5609 1
O4 0.2311 0.4522 0.3589 1
O5 0.2734 0.3059 0.7196 1
```